For CuAg2I3, a crystal structure in Alexandria, relaxed with PBE gives the computed XRD peak list in this record (Cu Kα, 1.54184 Å).
Lines closer than 0.1° are merged.

Most intense lines, 2θ from 5° to 70°, low angle first:
22.53°, 3.947 Å, I = 1000; 23.94°, 3.717 Å, I = 587; 25.55°, 3.486 Å, I = 677; 39.54°, 2.279 Å, I = 866; 43.10°, 2.099 Å, I = 856; 46.76°, 1.943 Å, I = 528

Unit cell a=7.895 b=7.895 c=7.434 alpha=90.00 beta=90.00 gamma=59.99
Fractional positions:
1 Cu 0.158 0.842 0.500
2 Cu 0.842 0.158 0.000
3 Ag 0.169 0.506 0.999
4 Ag 0.494 0.831 0.999
5 Ag 0.506 0.169 0.499
6 Ag 0.831 0.494 0.499
7 I 0.146 0.854 0.145
8 I 0.165 0.522 0.613
9 I 0.478 0.835 0.613
10 I 0.522 0.165 0.113
11 I 0.835 0.478 0.113
12 I 0.854 0.146 0.645



For Cu3AgI4, a crystal structure in Alexandria, relaxed with PBE gives the computed XRD peak list in this record (Cu Kα, 1.54184 Å).
Lines closer than 0.1° are merged.

Most intense lines, 2θ from 5° to 70°, low angle first:
24.85°, 3.583 Å, I = 1000; 41.14°, 2.194 Å, I = 720; 48.61°, 1.873 Å, I = 299; 48.76°, 1.868 Å, I = 150; 59.50°, 1.554 Å, I = 74; 65.61°, 1.423 Å, I = 113

Unit cell a=6.215 b=6.215 c=12.379 alpha=90.00 beta=90.00 gamma=90.00
Fractional positions:
1 Cu 0.000 0.000 0.000
2 Cu 0.000 0.500 0.250
3 Cu 0.000 0.500 0.750
4 Cu 0.500 0.000 0.250
5 Cu 0.500 0.000 0.750
6 Cu 0.500 0.500 0.500
7 Ag 0.000 0.000 0.500
8 Ag 0.500 0.500 0.000
9 I 0.235 0.235 0.868
10 I 0.235 0.765 0.132
11 I 0.265 0.265 0.368
12 I 0.265 0.735 0.632
13 I 0.735 0.265 0.632
14 I 0.735 0.735 0.368
15 I 0.765 0.235 0.132
16 I 0.765 0.765 0.868



For CuAg2I3, a crystal structure in Alexandria, relaxed with PBE gives the computed XRD peak list in this record (Cu Kα, 1.54184 Å).
Lines closer than 0.1° are merged.

Most intense lines, 2θ from 5° to 70°, low angle first:
23.83°, 3.735 Å, I = 946; 24.03°, 3.704 Å, I = 1000; 39.45°, 2.284 Å, I = 972; 40.06°, 2.251 Å, I = 247; 46.81°, 1.941 Å, I = 304; 47.14°, 1.928 Å, I = 293

Unit cell a=4.502 b=13.671 c=6.517 alpha=90.00 beta=90.00 gamma=90.00
Fractional positions:
1 Cu 0.000 0.000 0.000
2 Cu 0.500 0.500 0.500
3 Ag 0.000 0.337 0.996
4 Ag 0.000 0.663 0.996
5 Ag 0.500 0.163 0.496
6 Ag 0.500 0.837 0.496
7 I 0.000 0.158 0.768
8 I 0.000 0.500 0.719
9 I 0.000 0.842 0.768
10 I 0.500 0.000 0.219
11 I 0.500 0.342 0.268
12 I 0.500 0.658 0.268